(1)
Diffraction record for Pu2USn. The X-ray diffraction stick pattern is computed, not measured: it uses a cell relaxed with GGA-PBE and Cu Ka.
Lines closer than 0.1° are merged.

Main lines, sorted by position (10° ≤ 2θ ≤ 80°):
| 2theta | d (Å) | Rel. int. |
| --- | --- | --- |
| 16.21 | 5.468 | 201 |
| 32.76 | 2.734 | 270 |
| 33.36 | 2.686 | 310 |
| 33.93 | 2.642 | 530 |
| 34.97 | 2.566 | 742 |
| 36.45 | 2.465 | 914 |
| 36.83 | 2.440 | 1000 |
| 42.32 | 2.136 | 216 |
| 58.86 | 1.569 | 193 |
| 64.19 | 1.451 | 188 |

```
data_Pu2USn
_chemical_formula_sum 'Pu8 U4 Sn4'
_space_group_name_H-M_alt 'P 1'
_space_group_IT_number 1
_space_group_name_Hall 'P 1'
_cell_length_a 6.4952
_cell_length_b 5.4679
_cell_length_c 10.7235
_cell_angle_alpha 90.00
_cell_angle_beta 106.84
_cell_angle_gamma 90.00
loop_
_atom_site_label
_atom_site_type_symbol
_atom_site_fract_x
_atom_site_fract_y
_atom_site_fract_z
Pu1 Pu 0.0965 0.1726 0.1235
Pu2 Pu 0.0965 0.8274 0.6235
Pu3 Pu 0.1932 0.2768 0.8911
Pu4 Pu 0.1932 0.7232 0.3911
Pu5 Pu 0.8068 0.2768 0.6089
Pu6 Pu 0.8068 0.7232 0.1089
Pu7 Pu 0.9035 0.1726 0.3765
Pu8 Pu 0.9035 0.8274 0.8765
U1 U 0.3839 0.1317 0.3537
U2 U 0.3839 0.8683 0.8537
U3 U 0.6162 0.1317 0.1463
U4 U 0.6162 0.8683 0.6463
Sn1 Sn 0.3188 0.3394 0.6206
Sn2 Sn 0.3188 0.6606 0.1206
Sn3 Sn 0.6812 0.3394 0.8794
Sn4 Sn 0.6812 0.6606 0.3794
```

***

(2)
Diffraction record for Mn3Fe2SiC. The X-ray diffraction stick pattern is computed, not measured: it uses a cell relaxed with GGA-PBE and Cu Ka.
Lines closer than 0.1° are merged.

Main lines, sorted by position (10° ≤ 2θ ≤ 80°):
| 2theta | d (Å) | Rel. int. |
| --- | --- | --- |
| 39.45 | 2.284 | 181 |
| 43.40 | 2.085 | 1000 |
| 43.75 | 2.069 | 270 |
| 44.03 | 2.056 | 373 |
| 44.72 | 2.026 | 464 |
| 47.39 | 1.919 | 429 |
| 48.03 | 1.894 | 171 |
| 49.41 | 1.844 | 202 |
| 49.84 | 1.830 | 221 |
| 50.83 | 1.796 | 206 |

```
data_Mn3Fe2SiC
_chemical_formula_sum 'Mn12 Fe8 Si4 C4'
_space_group_name_H-M_alt 'P 1'
_space_group_IT_number 1
_space_group_name_Hall 'P 1'
_cell_length_a 6.3522
_cell_length_b 6.3522
_cell_length_c 7.3776
_cell_angle_alpha 90.00
_cell_angle_beta 90.00
_cell_angle_gamma 76.22
loop_
_atom_site_label
_atom_site_type_symbol
_atom_site_fract_x
_atom_site_fract_y
_atom_site_fract_z
Mn1 Mn 0.0125 0.6874 0.0627
Mn2 Mn 0.0125 0.6874 0.4373
Mn3 Mn 0.0382 0.9618 0.7500
Mn4 Mn 0.3126 0.9875 0.0627
Mn5 Mn 0.3126 0.9875 0.4373
Mn6 Mn 0.3492 0.6508 0.2500
Mn7 Mn 0.6508 0.3492 0.7500
Mn8 Mn 0.6874 0.0125 0.5627
Mn9 Mn 0.6874 0.0125 0.9373
Mn10 Mn 0.9618 0.0382 0.2500
Mn11 Mn 0.9875 0.3126 0.5627
Mn12 Mn 0.9875 0.3126 0.9373
Fe1 Fe 0.1925 0.5659 0.7500
Fe2 Fe 0.3773 0.3773 0.0000
Fe3 Fe 0.3773 0.3773 0.5000
Fe4 Fe 0.4341 0.8075 0.7500
Fe5 Fe 0.5659 0.1925 0.2500
Fe6 Fe 0.6227 0.6227 0.0000
Fe7 Fe 0.6227 0.6227 0.5000
Fe8 Fe 0.8075 0.4341 0.2500
Si1 Si 0.1724 0.3249 0.2500
Si2 Si 0.3249 0.1724 0.7500
Si3 Si 0.6751 0.8276 0.2500
Si4 Si 0.8276 0.6751 0.7500
C1 C 0.3040 0.6960 0.5378
C2 C 0.3040 0.6960 0.9622
C3 C 0.6960 0.3040 0.0378
C4 C 0.6960 0.3040 0.4622
```

***

(3)
Diffraction record for Nd4Sn8Pd. The X-ray diffraction stick pattern is computed, not measured: it uses a cell relaxed with GGA-PBE and Cu Ka.
Lines closer than 0.1° are merged.

Main lines, sorted by position (10° ≤ 2θ ≤ 80°):
| 2theta | d (Å) | Rel. int. |
| --- | --- | --- |
| 30.74 | 2.908 | 144 |
| 32.05 | 2.793 | 1000 |
| 32.38 | 2.765 | 85 |
| 36.86 | 2.439 | 107 |
| 39.80 | 2.265 | 199 |
| 40.29 | 2.238 | 192 |
| 51.11 | 1.787 | 71 |
| 57.92 | 1.592 | 134 |
| 67.40 | 1.389 | 122 |
| 68.09 | 1.377 | 119 |

```
data_Nd4Sn8Pd
_chemical_formula_sum 'Nd4 Sn8 Pd1'
_space_group_name_H-M_alt 'P 1'
_space_group_IT_number 1
_space_group_name_Hall 'P 1'
_cell_length_a 4.4766
_cell_length_b 4.5302
_cell_length_c 17.4488
_cell_angle_alpha 90.00
_cell_angle_beta 90.00
_cell_angle_gamma 90.00
loop_
_atom_site_label
_atom_site_type_symbol
_atom_site_fract_x
_atom_site_fract_y
_atom_site_fract_z
Nd1 Nd 0.0000 0.0000 0.0000
Nd2 Nd 0.0000 0.5000 0.4859
Nd3 Nd 0.5000 0.0000 0.7892
Nd4 Nd 0.5000 0.5000 0.2894
Sn1 Sn 0.0000 0.0000 0.3246
Sn2 Sn 0.0000 0.0000 0.6243
Sn3 Sn 0.0000 0.5000 0.1434
Sn4 Sn 0.0000 0.5000 0.8565
Sn5 Sn 0.5000 0.0000 0.1470
Sn6 Sn 0.5000 0.0000 0.4412
Sn7 Sn 0.5000 0.5000 0.6228
Sn8 Sn 0.5000 0.5000 0.9672
Pd1 Pd 0.0000 0.5000 0.7072
```